Fe4O5F3: simulated X-ray diffraction stick pattern (Cu Kα (weighted mean of Kα1 and Kα2)), based on a crystal structure in Alexandria, relaxed with PBE+U.

Cell and atoms:
Unit cell a=4.719 b=6.082 c=9.433 alpha=89.77 beta=87.88 gamma=89.81
Space group P1 (No. 1)
Symmetry-distinct sites (fractional):
Fe 0.000 0.000 0.000
Fe 0.001 0.002 0.501
Fe 0.026 0.503 0.515
Fe 0.045 0.501 0.020
Fe 0.450 0.250 0.752
Fe 0.485 0.753 0.738
Fe 0.511 0.249 0.260
Fe 0.544 0.753 0.246
O 0.189 0.246 0.914
O 0.200 0.757 0.908
O 0.201 0.253 0.407
O 0.295 0.004 0.652
O 0.302 0.501 0.657
O 0.343 0.501 0.166
O 0.702 0.002 0.349
O 0.809 0.753 0.594
O 0.818 0.245 0.105
O 0.830 0.754 0.098
F 0.215 0.750 0.398
F 0.315 0.996 0.157
F 0.686 0.498 0.846
F 0.692 0.005 0.846
F 0.721 0.503 0.358
F 0.795 0.254 0.605

Most intense lines, 2θ from 10° to 80°, low angle first:
26.2°, d 3.397, intensity 100
27.2°, d 3.274, intensity 97
35.1°, d 2.560, intensity 52
35.2°, d 2.551, intensity 51
52.1°, d 1.754, intensity 29
53.4°, d 1.716, intensity 41